1.
Ca2Tb5Er4: theoretical X-ray diffraction stick pattern (Cu Ka), based on a crystal structure in Alexandria, relaxed with GGA-PBE.
Lines closer than 0.1° are merged.

Structure:
```
Ca2Tb5Er4
1.0
6.1990 0.0000 0.0000
-2.0852 7.7567 0.0000
-1.0525 -2.8893 7.4428
Ca Tb Er
2 5 4
Direct
0.1812 0.2280 0.1357
0.8188 0.7720 0.8643
0.0000 0.5000 0.5000
0.3737 0.9585 0.7649
0.4520 0.3127 0.5973
0.5480 0.6873 0.4027
0.6263 0.0415 0.2351
0.0915 0.8547 0.3291
0.2736 0.5920 0.9539
0.7264 0.4080 0.0461
0.9085 0.1453 0.6709
```

Main lines, by angle (2θ from 10° to 90°):
2theta, I/Imax
30.36, 50
30.56, 100
30.74, 50
35.21, 34
35.47, 34
35.60, 34
50.93, 35
51.37, 12
60.49, 14
60.65, 21
61.02, 14
63.61, 12

***

2.
MgH8Pd5: theoretical X-ray diffraction stick pattern (Cu Ka), based on a crystal structure in Alexandria, relaxed with GGA-PBE.
Lines closer than 0.1° are merged.

Structure:
```
MgH8Pd5
1.0
3.0805 0.0000 0.0000
-0.0376 5.4593 0.0000
-0.0178 -0.5752 7.3297
Mg H Pd
1 8 5
Direct
0.0000 0.0000 0.0000
0.0021 0.4823 0.2597
0.4953 0.3075 0.0367
0.4977 0.0657 0.7377
0.4984 0.2835 0.5247
0.5016 0.7165 0.4753
0.5023 0.9343 0.2623
0.5047 0.6925 0.9633
0.9979 0.5177 0.7403
0.0000 0.5000 0.0000
0.0006 0.8039 0.3633
0.4969 0.7335 0.7228
0.5031 0.2665 0.2772
0.9994 0.1961 0.6367
```

Main lines, by angle (2θ from 10° to 90°):
2theta, I/Imax
21.08, 50
32.91, 29
35.13, 100
35.27, 100
36.10, 69
36.79, 64
39.22, 32
39.68, 71
42.40, 34
42.68, 34
60.06, 46
66.57, 37

***

3.
SrScZnAg: theoretical X-ray diffraction stick pattern (Cu Ka), based on a crystal structure in Alexandria, relaxed with GGA-PBE.
Lines closer than 0.1° are merged.

Structure:
```
SrScZnAg
1.0
0.0000 3.6499 3.6499
3.6499 0.0000 3.6499
3.6499 3.6499 0.0000
Sr Sc Zn Ag
1 1 1 1
Direct
0.0000 0.0000 0.0000
0.5000 0.5000 0.5000
0.2500 0.2500 0.2500
0.7500 0.7500 0.7500
```

Main lines, by angle (2θ from 10° to 90°):
2theta, I/Imax
21.08, 8
24.39, 3
34.76, 100
41.01, 5
49.98, 17
54.82, 2
56.37, 1
62.31, 34
66.56, 1
73.37, 10
77.33, 2
83.81, 15